[1]
For AgAuF7, a PBE-relaxed structure gives the simulated X-ray powder pattern in this record (Cu Kα (weighted mean of Kα1 and Kα2)).
Peak positions follow from Bragg's law for the DFT cell and can differ from measured ones.

```
AgAuF7
1.0
7.9025 0.0000 0.0000
0.0000 7.2955 0.0000
0.0000 0.0000 10.2728
Ag Au F
4 4 28
Direct
0.1329 0.2500 0.2411
0.3671 0.7500 0.7411
0.6329 0.2500 0.2589
0.8671 0.7500 0.7589
0.1959 0.7500 0.0562
0.3041 0.2500 0.5562
0.6959 0.7500 0.4438
0.8041 0.2500 0.9438
0.0326 0.2500 0.0241
0.0830 0.2500 0.6358
0.1135 0.7500 0.6981
0.1190 0.5646 0.1809
0.1190 0.9354 0.1809
0.2254 0.0687 0.4288
0.2254 0.4313 0.4288
0.2746 0.5687 0.9288
0.2746 0.9313 0.9288
0.3810 0.0646 0.6809
0.3810 0.4354 0.6809
0.3865 0.2500 0.1981
0.4170 0.7500 0.1358
0.4674 0.7500 0.5241
0.5326 0.2500 0.4759
0.5830 0.2500 0.8642
0.6135 0.7500 0.8019
0.6190 0.5646 0.3191
0.6190 0.9354 0.3191
0.7254 0.0687 0.0712
0.7254 0.4313 0.0712
0.7746 0.5687 0.5712
0.7746 0.9313 0.5712
0.8810 0.0646 0.8191
0.8810 0.4354 0.8191
0.8865 0.2500 0.3019
0.9170 0.7500 0.3642
0.9674 0.7500 0.9759
```

Top 8 peaks for 15° ≤ 2θ ≤ 90°, most intense first:
18.7°, 4.752 Å, intensity 100.0, (1 1 1); 28.8°, 3.100 Å, intensity 38.4, (0 1 3); 24.4°, 3.648 Å, intensity 38.1, (0 2 0); 31.1°, 2.880 Å, intensity 32.2, (2 1 2); 20.6°, 4.307 Å, intensity 21.8, (1 0 2); 24.1°, 3.688 Å, intensity 21.8, (2 0 1); 32.2°, 2.783 Å, intensity 18.2, (1 2 2); 45.8°, 1.983 Å, intensity 16.4, (0 3 3)



[2]
For Ag8AuF4, a PBE-relaxed structure gives the simulated X-ray powder pattern in this record (Cu Kα (weighted mean of Kα1 and Kα2)).
Peak positions follow from Bragg's law for the DFT cell and can differ from measured ones.

```
Ag8AuF4
1.0
5.2933 0.0000 0.0000
-2.6467 4.5842 0.0000
0.0000 0.0000 10.8060
Ag Au F
8 1 4
Direct
0.0000 0.3130 0.2859
0.0000 0.6870 0.7141
0.3130 0.0000 0.2859
0.3130 0.3130 0.7141
0.3333 0.6667 0.5000
0.6667 0.3333 0.5000
0.6870 0.0000 0.7141
0.6870 0.6870 0.2859
0.0000 0.0000 0.5000
0.3333 0.6667 0.1603
0.3333 0.6667 0.8397
0.6667 0.3333 0.1603
0.6667 0.3333 0.8397
```

Top 8 peaks for 15° ≤ 2θ ≤ 90°, most intense first:
37.9°, 2.377 Å, intensity 100.0, (1 1 2); 34.9°, 2.571 Å, intensity 95.4, (1 1 1); 42.4°, 2.133 Å, intensity 94.1, (2 -1 3); 60.6°, 1.528 Å, intensity 28.6, (3 0 0); 33.2°, 2.702 Å, intensity 28.0, (0 0 4); 62.4°, 1.489 Å, intensity 25.6, (1 1 6); 41.8°, 2.161 Å, intensity 23.8, (0 0 5); 76.3°, 1.248 Å, intensity 22.8, (3 0 5)